Diffraction record for Hf2ReRh. The powder diffractogram is computed, not measured: it uses a GGA-PBE-relaxed structure and λ = 1.5418 Å (Cu Kα).
Kinematic intensities with the Lorentz-polarization factor, no thermal factor.

Largest 10 diffraction maxima, by intensity, 2θ = 10–90°:
2θ (°)  I_rel
38.9  100
70.5  35
56.2  17
83.6  11
23.5  3
46.0  2
27.3  1
61.8  1
88.4  1
75.5  1

Crystal structure
```
Hf2ReRh
1.0
0.000 3.272 3.272
3.272 0.000 3.272
3.272 3.272 0.000
Hf Re Rh
2 1 1
Cartesian
1.636 1.636 1.636
4.909 4.909 4.909
0.000 0.000 0.000
3.272 3.272 3.272
```